(1)
For Y5Al2Ag, a cell relaxed with GGA-PBE gives the simulated powder XRD pattern in this record (copper Kα).

Structural model:
Cell lengths 9.176, 9.176, 9.176 Å; angles 130.69, 130.69, 72.31 degrees
Atoms (fractional coordinates):
Y 0.000 0.000 0.000
Y 0.021 0.521 0.837
Y 0.184 0.021 0.500
Y 0.316 0.816 0.837
Y 0.479 0.316 0.500
Y 0.500 0.500 0.000
Y 0.521 0.684 0.500
Y 0.684 0.184 0.163
Y 0.816 0.979 0.500
Y 0.979 0.479 0.163
Al 0.122 0.378 0.500
Al 0.378 0.878 0.256
Al 0.622 0.122 0.744
Al 0.878 0.622 0.500
Ag 0.250 0.250 0.000
Ag 0.750 0.750 0.000

Main lines, in order of falling intensity (10° ≤ 2θ ≤ 80°):
| 2θ (°) | I (rel.) |
| --- | --- |
| 31.80 | 100.0 |
| 33.67 | 67.5 |
| 37.13 | 63.9 |
| 29.21 | 46.1 |
| 26.72 | 29.2 |
| 56.74 | 25.5 |

(2)
For LiY2Pb9, a cell relaxed with GGA-PBE gives the simulated powder XRD pattern in this record (copper Kα).

Structural model:
Cell lengths 4.828, 4.828, 14.838 Å; angles 90.00, 90.00, 90.00 degrees
Atoms (fractional coordinates):
Li 0.000 0.000 0.000
Y 0.000 0.000 0.337
Y 0.000 0.000 0.663
Pb 0.000 0.500 0.161
Pb 0.000 0.500 0.500
Pb 0.000 0.500 0.839
Pb 0.500 0.000 0.161
Pb 0.500 0.000 0.500
Pb 0.500 0.000 0.839
Pb 0.500 0.500 0.000
Pb 0.500 0.500 0.329
Pb 0.500 0.500 0.671

Main lines, in order of falling intensity (10° ≤ 2θ ≤ 80°):
| 2θ (°) | I (rel.) |
| --- | --- |
| 31.85 | 100.0 |
| 37.25 | 33.3 |
| 63.80 | 28.3 |
| 53.01 | 24.0 |
| 36.33 | 17.4 |
| 62.56 | 14.3 |

(3)
For Ca4InHg15, a cell relaxed with GGA-PBE gives the simulated powder XRD pattern in this record (copper Kα).

Structural model:
Cell lengths 4.759, 4.759, 22.800 Å; angles 90.00, 90.00, 90.00 degrees
Atoms (fractional coordinates):
Ca 0.000 0.000 0.101
Ca 0.000 0.000 0.306
Ca 0.000 0.000 0.694
Ca 0.000 0.000 0.899
In 0.000 0.000 0.500
Hg 0.000 0.500 0.000
Hg 0.000 0.500 0.203
Hg 0.000 0.500 0.403
Hg 0.000 0.500 0.597
Hg 0.000 0.500 0.797
Hg 0.500 0.000 0.000
Hg 0.500 0.000 0.203
Hg 0.500 0.000 0.403
Hg 0.500 0.000 0.597
Hg 0.500 0.000 0.797
Hg 0.500 0.500 0.099
Hg 0.500 0.500 0.304
Hg 0.500 0.500 0.500
Hg 0.500 0.500 0.696
Hg 0.500 0.500 0.901

Main lines, in order of falling intensity (10° ≤ 2θ ≤ 80°):
| 2θ (°) | I (rel.) |
| --- | --- |
| 33.08 | 100.0 |
| 37.81 | 35.3 |
| 65.29 | 28.7 |
| 55.84 | 22.4 |
| 39.52 | 15.2 |
| 54.54 | 12.3 |